No. 1
# Be4IrPt
Calculated X-ray powder pattern, Cu Ka. Input: a DFT-relaxed cell (GGA-PBE, Alexandria).
Lines closer than 0.1° are merged.

Structural model:
```
Be4IrPt
1.0
0.000 3.118 3.118
3.118 0.000 3.118
3.118 3.118 0.000
Be Ir Pt
4 1 1
Cartesian
0.778 0.778 0.778
2.340 2.340 0.778
2.340 0.778 2.340
0.778 2.340 2.340
4.676 4.676 4.676
3.118 3.118 3.118
```

Most intense lines, 2θ = 15–90°, most intense first:
- 24.73 deg, intensity 1000
- 40.94 deg, intensity 900
- 48.42 deg, intensity 608
- 74.56 deg, intensity 316
- 65.22 deg, intensity 212
- 79.95 deg, intensity 192
- 59.28 deg, intensity 136
- 88.76 deg, intensity 119

No. 2
# Dy8In2Ga
Calculated X-ray powder pattern, Cu Ka. Input: a DFT-relaxed cell (GGA-PBE, Alexandria).
Lines closer than 0.1° are merged.

Structural model:
```
Dy8In2Ga
1.0
9.324 -2.580 0.000
9.324 2.580 0.000
-1.602 0.000 6.574
Dy In Ga
8 2 1
Cartesian
-0.125 0.000 1.769
2.572 0.000 5.260
5.630 0.000 3.455
7.553 0.000 0.273
9.493 0.000 6.300
11.416 0.000 3.119
14.474 0.000 1.313
17.171 0.000 4.805
3.046 0.000 1.601
14.001 0.000 4.973
8.523 0.000 3.287
```

Most intense lines, 2θ = 15–90°, most intense first:
- 30.14 deg, intensity 1000
- 34.77 deg, intensity 859
- 31.66 deg, intensity 798
- 33.67 deg, intensity 670
- 29.54 deg, intensity 580
- 28.23 deg, intensity 423
- 32.74 deg, intensity 347
- 46.25 deg, intensity 341

No. 3
# Pm2Sn4Ge
Calculated X-ray powder pattern, Cu Ka. Input: a DFT-relaxed cell (GGA-PBE, Alexandria).
Lines closer than 0.1° are merged.

Structural model:
```
Pm2Sn4Ge
1.0
4.491 0.000 0.000
0.000 4.491 0.000
0.000 0.000 9.555
Pm Sn Ge
2 4 1
Cartesian
0.000 2.246 2.256
2.246 0.000 7.300
0.000 0.000 4.778
0.000 2.246 7.806
2.246 0.000 1.749
2.246 2.246 4.778
2.246 2.246 0.000
```

Most intense lines, 2θ = 15–90°, most intense first:
- 33.89 deg, intensity 1000
- 40.15 deg, intensity 411
- 68.98 deg, intensity 262
- 56.20 deg, intensity 233
- 28.04 deg, intensity 221
- 29.64 deg, intensity 204
- 58.09 deg, intensity 134
- 49.67 deg, intensity 134

No. 4
# Np2B7Ir12
Calculated X-ray powder pattern, Cu Ka. Input: a DFT-relaxed cell (GGA-PBE, Alexandria).
Lines closer than 0.1° are merged.

Structural model:
```
Np2B7Ir12
1.0
8.998 0.000 0.000
-4.499 7.792 0.000
0.000 0.000 3.876
Np B Ir
2 7 12
Cartesian
0.000 0.000 0.000
0.000 5.195 1.929
-2.176 4.780 3.862
2.092 0.173 1.944
1.447 3.518 3.862
0.728 7.287 3.862
4.499 2.597 1.634
3.603 5.894 1.944
7.802 1.725 1.944
-3.211 5.991 1.937
-0.700 3.051 3.875
0.917 2.016 1.937
-1.506 6.873 3.875
2.893 1.928 0.003
4.201 0.526 1.939
2.854 3.891 1.939
2.207 5.660 3.875
2.295 7.578 1.937
5.882 1.541 0.003
4.722 4.323 0.003
6.442 3.375 1.939
```

Most intense lines, 2θ = 15–90°, most intense first:
- 38.38 deg, intensity 1000
- 30.37 deg, intensity 337
- 46.88 deg, intensity 160
- 53.92 deg, intensity 155
- 74.19 deg, intensity 122
- 81.32 deg, intensity 118
- 41.83 deg, intensity 103
- 68.11 deg, intensity 101

No. 5
# CuAg2Cl6
Calculated X-ray powder pattern, Cu Ka. Input: a DFT-relaxed cell (GGA-PBE, Alexandria).
Lines closer than 0.1° are merged.

Structural model:
```
CuAg2Cl6
1.0
6.484 0.000 0.000
0.000 6.719 0.000
-3.525 0.000 11.325
Cu Ag Cl
2 4 12
Cartesian
0.000 0.000 0.000
-1.762 3.359 5.662
-0.687 0.907 9.469
1.075 2.452 3.806
1.884 4.266 7.519
3.646 5.812 1.856
-0.910 1.433 4.861
-2.673 1.926 10.524
0.011 4.486 4.838
-1.751 5.592 10.500
1.786 0.306 2.896
0.023 3.053 8.559
2.935 3.666 2.766
1.173 6.412 8.429
4.710 1.126 0.825
2.948 2.233 6.487
5.632 4.793 0.801
3.869 5.285 6.464
```

Most intense lines, 2θ = 15–90°, most intense first:
- 24.25 deg, intensity 1000
- 15.33 deg, intensity 622
- 20.51 deg, intensity 295
- 35.86 deg, intensity 212
- 19.50 deg, intensity 209
- 42.88 deg, intensity 202
- 38.58 deg, intensity 184
- 22.22 deg, intensity 184

No. 6
# Nb2Co12P7
Calculated X-ray powder pattern, Cu Ka. Input: a DFT-relaxed cell (GGA-PBE, Alexandria).
Lines closer than 0.1° are merged.

Structural model:
```
Nb2Co12P7
1.0
8.837 0.000 0.000
-4.419 7.653 0.000
0.000 0.000 3.529
Nb Co P
2 12 7
Cartesian
0.000 0.000 0.000
0.000 5.102 1.764
-2.911 5.919 1.764
-0.820 3.043 0.000
0.748 2.173 1.764
-1.373 6.842 0.000
2.447 1.653 0.000
4.251 0.918 1.764
3.088 3.513 1.764
2.194 5.421 0.000
2.163 7.215 1.764
6.182 1.293 0.000
4.627 4.707 0.000
5.917 3.222 1.764
-2.061 4.779 0.000
2.089 0.357 1.764
1.311 3.479 0.000
0.751 7.049 0.000
4.419 2.551 0.000
3.683 5.666 1.764
7.484 1.631 1.764
```

Most intense lines, 2θ = 15–90°, most intense first:
- 40.32 deg, intensity 1000
- 54.98 deg, intensity 188
- 51.82 deg, intensity 185
- 50.15 deg, intensity 147
- 78.93 deg, intensity 124
- 47.52 deg, intensity 89
- 42.59 deg, intensity 74
- 43.79 deg, intensity 74

No. 7
# PbI
Calculated X-ray powder pattern, Cu Ka. Input: a DFT-relaxed cell (GGA-PBE, Alexandria).
Lines closer than 0.1° are merged.

Structural model:
```
PbI
1.0
0.000 5.096 8.162
4.085 0.000 8.162
4.085 5.096 0.000
Pb I
4 4
Cartesian
1.021 1.274 0.366
1.021 1.274 3.715
7.149 8.918 12.608
7.149 8.918 15.958
3.064 1.911 6.121
5.107 4.459 10.202
3.064 5.733 6.121
5.107 8.281 10.202
```

Most intense lines, 2θ = 15–90°, most intense first:
- 35.74 deg, intensity 1000
- 28.98 deg, intensity 986
- 30.77 deg, intensity 687
- 24.37 deg, intensity 652
- 21.47 deg, intensity 384
- 37.47 deg, intensity 375
- 42.92 deg, intensity 343
- 54.21 deg, intensity 335

No. 8
# Sr2Cd2Hg
Calculated X-ray powder pattern, Cu Ka. Input: a DFT-relaxed cell (GGA-PBE, Alexandria).
Lines closer than 0.1° are merged.

Structural model:
```
Sr2Cd2Hg
1.0
4.169 0.000 0.000
0.000 2.417 7.895
0.000 -2.417 7.895
Sr Cd Hg
2 2 1
Cartesian
0.000 0.000 0.000
0.000 0.000 3.874
2.084 0.000 9.853
2.084 0.000 12.923
2.084 0.000 6.737
```

Most intense lines, 2θ = 15–90°, most intense first:
- 28.84 deg, intensity 1000
- 33.91 deg, intensity 815
- 56.20 deg, intensity 471
- 31.20 deg, intensity 437
- 33.09 deg, intensity 423
- 37.21 deg, intensity 369
- 40.40 deg, intensity 277
- 21.31 deg, intensity 262

No. 9
# Ti2NiAs3
Calculated X-ray powder pattern, Cu Ka. Input: a DFT-relaxed cell (GGA-PBE, Alexandria).
Lines closer than 0.1° are merged.

Structural model:
```
Ti2NiAs3
1.0
9.776 0.000 0.000
0.000 3.600 0.000
0.000 0.000 11.398
Ti Ni As
8 4 12
Cartesian
0.436 0.900 2.815
2.018 2.700 5.953
2.870 0.900 0.254
4.453 2.700 8.514
5.324 0.900 2.884
6.906 2.700 11.143
7.759 0.900 5.445
9.341 2.700 8.583
2.185 0.900 8.406
2.703 2.700 2.707
7.074 0.900 8.690
7.591 2.700 2.992
0.349 0.900 6.866
1.034 2.700 1.090
1.924 2.700 9.822
2.964 0.900 4.123
3.855 0.900 6.789
4.539 2.700 1.167
5.237 0.900 10.231
5.922 2.700 4.609
6.812 2.700 7.275
7.852 0.900 1.576
8.743 0.900 10.307
9.427 2.700 4.532
```

Most intense lines, 2θ = 15–90°, most intense first:
- 39.09 deg, intensity 1000
- 35.56 deg, intensity 453
- 50.72 deg, intensity 329
- 31.63 deg, intensity 315
- 55.89 deg, intensity 199
- 38.08 deg, intensity 189
- 37.64 deg, intensity 177
- 27.54 deg, intensity 171

No. 10
# Tl3BS4
Calculated X-ray powder pattern, Cu Ka. Input: a DFT-relaxed cell (GGA-PBE, Alexandria).
Lines closer than 0.1° are merged.

Structural model:
```
Tl3BS4
1.0
5.827 -4.546 0.000
5.827 4.546 0.000
-1.537 0.000 4.221
Tl B S
3 1 4
Cartesian
0.000 0.000 0.000
2.926 -2.634 1.467
7.190 -2.634 2.754
5.058 1.766 2.110
3.776 2.829 1.180
6.341 2.829 3.041
4.009 0.503 3.232
6.107 0.503 0.988
```

Most intense lines, 2θ = 15–90°, most intense first:
- 25.47 deg, intensity 1000
- 28.06 deg, intensity 523
- 22.09 deg, intensity 472
- 28.87 deg, intensity 465
- 35.75 deg, intensity 410
- 26.95 deg, intensity 387
- 30.86 deg, intensity 365
- 38.62 deg, intensity 270